# 1
# SiSnO3
Theoretical powder XRD pattern, Cu Kα X-rays. Input: DFT lattice parameters and positions (PBE).
Kinematic intensities with the Lorentz-polarization factor, no thermal factor.

Crystal structure
a b c (Å): 3.7122 3.7122 3.7122
angles (deg): 90.00 90.00 90.00
Space group Pm-3m (No. 221)
Inequivalent atoms, fractional coordinates:
Si  0.0000  0.0000  0.0000 [1 per cell]
Sn  0.5000  0.5000  0.5000 [1 per cell]
O  0.0000  0.0000  0.5000 [3 per cell]

Largest 8 diffraction maxima, sorted by position, 10 to 80 degrees two-theta:
- hkl 1 0 0, d = 3.712 Å, I 36
- hkl 1 1 0, d = 2.625 Å, I 100
- hkl 1 1 1, d = 2.143 Å, I 42
- hkl 2 0 0, d = 1.856 Å, I 38
- hkl 2 1 0, d = 1.660 Å, I 19
- hkl 2 1 1, d = 1.516 Å, I 40
- hkl 2 2 0, d = 1.312 Å, I 23
- hkl 3 0 0, d = 1.237 Å, I 10

# 2
# Y2Si2O7
Theoretical powder XRD pattern, Cu Kα X-rays. Input: DFT lattice parameters and positions (PBE).
Kinematic intensities with the Lorentz-polarization factor, no thermal factor.

Crystal structure
a b c (Å): 5.0964 8.1546 7.4204
angles (deg): 90.00 108.78 90.00
Space group P2_1/m (No. 11)
Inequivalent atoms, fractional coordinates:
Y  0.2307  0.0078  0.2517 [4 per cell]
Si  0.1540  0.2500  0.5731 [2 per cell]
Si  0.2860  0.7500  0.8670 [2 per cell]
O  0.0092  0.7500  0.6647 [2 per cell]
O  0.0695  0.7500  0.3123 [2 per cell]
O  0.2162  0.5848  0.9659 [4 per cell]
O  0.3316  0.0809  0.5927 [4 per cell]
O  0.4290  0.2500  0.1855 [2 per cell]

Largest 12 diffraction maxima, sorted by position, 10 to 80 degrees two-theta:
- hkl 1 0 -1, d = 4.755 Å, I 35
- hkl 0 0 2, d = 3.513 Å, I 29
- hkl 1 0 1, d = 3.488 Å, I 30
- hkl 1 2 -1, d = 3.095 Å, I 100
- hkl 0 2 2, d = 2.661 Å, I 23
- hkl 1 2 1, d = 2.650 Å, I 22
- hkl 1 0 -3, d = 2.437 Å, I 23
- hkl 2 0 0, d = 2.413 Å, I 22
- hkl 1 2 -3, d = 2.092 Å, I 23
- hkl 2 2 0, d = 2.076 Å, I 22
- hkl 1 0 3, d = 1.882 Å, I 20
- hkl 3 2 -1, d = 1.562 Å, I 20

# 3
# Ti5CuSb3
Theoretical powder XRD pattern, Cu Kα X-rays. Input: DFT lattice parameters and positions (PBE).
Kinematic intensities with the Lorentz-polarization factor, no thermal factor.

Crystal structure
a b c (Å): 8.1887 8.1887 5.5006
angles (deg): 90.00 90.00 120.00
Space group P6_3/mcm (No. 193)
Inequivalent atoms, fractional coordinates:
Ti  0.0000  0.2690  0.2500 [6 per cell]
Ti  0.3333  0.6667  0.0000 [4 per cell]
Cu  0.0000  0.0000  0.0000 [2 per cell]
Sb  0.0000  0.3829  0.7500 [6 per cell]

Largest 12 diffraction maxima, sorted by position, 10 to 80 degrees two-theta:
- hkl 2 0 0, d = 3.546 Å, I 16
- hkl 1 1 1, d = 3.284 Å, I 56
- hkl 0 0 2, d = 2.750 Å, I 22
- hkl 2 1 1, d = 2.410 Å, I 73
- hkl 3 0 0, d = 2.364 Å, I 95
- hkl 1 1 2, d = 2.283 Å, I 100
- hkl 2 2 1, d = 1.919 Å, I 15
- hkl 3 1 1, d = 1.852 Å, I 34
- hkl 2 2 2, d = 1.642 Å, I 21
- hkl 2 1 3, d = 1.513 Å, I 16
- hkl 4 1 2, d = 1.349 Å, I 15
- hkl 4 2 1, d = 1.302 Å, I 20

# 4
# SmCr2Fe10
Theoretical powder XRD pattern, Cu Kα X-rays. Input: DFT lattice parameters and positions (PBE).
Kinematic intensities with the Lorentz-polarization factor, no thermal factor.

Crystal structure
a b c (Å): 4.6815 8.4161 8.4906
angles (deg): 90.00 90.00 90.00
Space group Immm (No. 71)
Inequivalent atoms, fractional coordinates:
Sm  0.0000  0.0000  0.0000 [2 per cell]
Cr  0.0000  0.0000  0.3683 [4 per cell]
Fe  0.0000  0.2718  0.5000 [4 per cell]
Fe  0.0000  0.3600  0.0000 [4 per cell]
Fe  0.0000  0.5000  0.2684 [4 per cell]
Fe  0.2500  0.2500  0.2500 [8 per cell]

Largest 12 diffraction maxima, sorted by position, 10 to 80 degrees two-theta:
- hkl 1 1 2, d = 2.941 Å, I 61
- hkl 1 0 3, d = 2.422 Å, I 27
- hkl 1 3 0, d = 2.406 Å, I 29
- hkl 2 0 0, d = 2.341 Å, I 22
- hkl 0 0 4, d = 2.123 Å, I 46
- hkl 0 4 0, d = 2.104 Å, I 42
- hkl 1 2 3, d = 2.099 Å, I 61
- hkl 1 3 2, d = 2.093 Å, I 75
- hkl 2 0 2, d = 2.048 Å, I 100
- hkl 2 2 2, d = 1.843 Å, I 34
- hkl 0 4 4, d = 1.494 Å, I 19
- hkl 3 3 2, d = 1.299 Å, I 26

# 5
# Na2Al2B2O7
Theoretical powder XRD pattern, Cu Kα X-rays. Input: DFT lattice parameters and positions (PBE).
Kinematic intensities with the Lorentz-polarization factor, no thermal factor.

Crystal structure
a b c (Å): 4.8888 8.4124 15.5749
angles (deg): 90.00 90.09 90.00
Space group Cc (No. 9)
Inequivalent atoms, fractional coordinates:
Na  0.0000  0.0004  0.0000 [4 per cell]
Na  0.0073  0.0017  0.2500 [4 per cell]
Al  0.4931  0.1693  0.6389 [4 per cell]
Al  0.4944  0.1700  0.8611 [4 per cell]
B  0.4993  0.1661  0.1041 [4 per cell]
B  0.4988  0.1662  0.3959 [4 per cell]
O  0.1237  0.4815  0.6078 [4 per cell]
O  0.1578  0.1983  0.5988 [4 per cell]
O  0.2169  0.1772  0.1059 [4 per cell]
O  0.2805  0.3224  0.9012 [4 per cell]
O  0.3405  0.3025  0.3919 [4 per cell]
O  0.3748  0.0186  0.3946 [4 per cell]
O  0.4697  0.1777  0.7500 [4 per cell]

Largest 12 diffraction maxima, sorted by position, 10 to 80 degrees two-theta:
- hkl 1 1 1, d = 4.079 Å, I 26
- hkl 0 2 1, d = 4.061 Å, I 10
- hkl 0 0 4, d = 3.894 Å, I 44
- hkl 1 1 -4, d = 2.862 Å, I 100
- hkl 2 0 0, d = 2.444 Å, I 12
- hkl 1 3 0, d = 2.432 Å, I 23
- hkl 2 0 2, d = 2.331 Å, I 15
- hkl 1 3 -2, d = 2.322 Å, I 31
- hkl 0 0 8, d = 1.947 Å, I 17
- hkl 1 1 -9, d = 1.601 Å, I 10
- hkl 2 0 8, d = 1.521 Å, I 20
- hkl 3 3 0, d = 1.409 Å, I 15

# 6
# YO3
Theoretical powder XRD pattern, Cu Kα X-rays. Input: DFT lattice parameters and positions (PBE).
Kinematic intensities with the Lorentz-polarization factor, no thermal factor.

Crystal structure
a b c (Å): 6.4975 6.4975 3.4238
angles (deg): 90.00 90.00 120.00
Space group P6_3/m (No. 176)
Inequivalent atoms, fractional coordinates:
Y  0.3333  0.6667  0.2500 [2 per cell]
O  0.0571  0.4218  0.7500 [6 per cell]

Largest 12 diffraction maxima, sorted by position, 10 to 80 degrees two-theta:
- hkl 1 0 0, d = 5.627 Å, I 100
- hkl 1 1 0, d = 3.249 Å, I 41
- hkl 1 0 1, d = 2.925 Å, I 56
- hkl 1 1 1, d = 2.357 Å, I 7
- hkl 2 0 1, d = 2.174 Å, I 38
- hkl 2 1 0, d = 2.127 Å, I 11
- hkl 3 0 0, d = 1.876 Å, I 19
- hkl 2 1 1, d = 1.807 Å, I 49
- hkl 1 1 2, d = 1.514 Å, I 9
- hkl 3 1 1, d = 1.420 Å, I 13
- hkl 3 0 2, d = 1.264 Å, I 9
- hkl 2 3 1, d = 1.208 Å, I 10

# 7
# Ba2SmCu3O6
Theoretical powder XRD pattern, Cu Kα X-rays. Input: DFT lattice parameters and positions (PBE).
Kinematic intensities with the Lorentz-polarization factor, no thermal factor.

Crystal structure
a b c (Å): 3.9087 3.9087 12.1601
angles (deg): 90.00 90.00 90.00
Space group P4/mmm (No. 123)
Inequivalent atoms, fractional coordinates:
Ba  0.0000  0.0000  0.1951 [2 per cell]
Sm  0.0000  0.0000  0.5000 [1 per cell]
Cu  0.5000  0.5000  0.0000 [1 per cell]
Cu  0.5000  0.5000  0.3625 [2 per cell]
O  0.0000  0.5000  0.3754 [4 per cell]
O  0.5000  0.5000  0.1487 [2 per cell]

Largest 12 diffraction maxima, sorted by position, 10 to 80 degrees two-theta:
- hkl 1 0 0, d = 3.909 Å, I 11
- hkl 1 0 3, d = 2.814 Å, I 100
- hkl 1 1 0, d = 2.764 Å, I 58
- hkl 1 0 4, d = 2.400 Å, I 19
- hkl 1 1 3, d = 2.284 Å, I 14
- hkl 2 0 0, d = 1.954 Å, I 31
- hkl 1 1 6, d = 1.634 Å, I 13
- hkl 2 1 3, d = 1.605 Å, I 37
- hkl 2 1 4, d = 1.515 Å, I 9
- hkl 2 2 0, d = 1.382 Å, I 9
- hkl 3 0 3, d = 1.240 Å, I 8
- hkl 3 1 0, d = 1.236 Å, I 9

# 8
# TeBr2
Theoretical powder XRD pattern, Cu Kα X-rays. Input: DFT lattice parameters and positions (PBE).
Kinematic intensities with the Lorentz-polarization factor, no thermal factor.

Crystal structure
a b c (Å): 8.6201 8.6201 3.9346
angles (deg): 90.00 90.00 90.00
Space group P4_2/mnm (No. 136)
Inequivalent atoms, fractional coordinates:
Te  0.0000  0.0000  0.0000 [2 per cell]
Br  0.1634  0.1634  0.5000 [4 per cell]

Largest 12 diffraction maxima, sorted by position, 10 to 80 degrees two-theta:
- hkl 1 1 0, d = 6.095 Å, I 100
- hkl 2 1 0, d = 3.855 Å, I 38
- hkl 1 1 1, d = 3.306 Å, I 24
- hkl 2 2 0, d = 3.048 Å, I 17
- hkl 2 1 1, d = 2.754 Å, I 53
- hkl 2 2 1, d = 2.409 Å, I 11
- hkl 3 0 1, d = 2.320 Å, I 51
- hkl 3 3 0, d = 2.032 Å, I 17
- hkl 4 2 0, d = 1.928 Å, I 10
- hkl 4 1 1, d = 1.846 Å, I 18
- hkl 3 3 2, d = 1.413 Å, I 10
- hkl 6 3 1, d = 1.222 Å, I 13

# 9
# ErGa3
Theoretical powder XRD pattern, Cu Kα X-rays. Input: DFT lattice parameters and positions (PBE).
Kinematic intensities with the Lorentz-polarization factor, no thermal factor.

Crystal structure
a b c (Å): 4.2550 4.2550 4.2550
angles (deg): 90.00 90.00 90.00
Space group Pm-3m (No. 221)
Inequivalent atoms, fractional coordinates:
Er  0.0000  0.0000  0.0000 [1 per cell]
Ga  0.0000  0.5000  0.5000 [3 per cell]

Largest 11 diffraction maxima, sorted by position, 10 to 80 degrees two-theta:
- hkl 1 0 0, d = 4.255 Å, I 17
- hkl 1 1 0, d = 3.009 Å, I 15
- hkl 1 1 1, d = 2.457 Å, I 100
- hkl 2 0 0, d = 2.128 Å, I 49
- hkl 2 1 0, d = 1.903 Å, I 8
- hkl 2 1 1, d = 1.737 Å, I 6
- hkl 2 2 0, d = 1.504 Å, I 32
- hkl 3 0 0, d = 1.418 Å, I 4
- hkl 3 1 0, d = 1.346 Å, I 3
- hkl 3 1 1, d = 1.283 Å, I 37
- hkl 2 2 2, d = 1.228 Å, I 11